For Pm3SmTl2O, a structure optimized by DFT (PBE) gives the simulated X-ray diffraction stick pattern in this record (Cu Kα, 1.54184 Å).

The 12 most intense peaks (10° ≤ 2θ ≤ 90°), in order of falling intensity:
| 2θ (°) | intensity |
| --- | --- |
| 34.0 | 100.0 |
| 28.4 | 72.6 |
| 37.5 | 33.3 |
| 37.7 | 32.9 |
| 31.9 | 32.9 |
| 26.4 | 28.2 |
| 54.3 | 23.1 |
| 32.5 | 22.8 |
| 50.0 | 18.6 |
| 50.2 | 18.4 |
| 64.3 | 17.4 |
| 61.5 | 15.5 |

abc: 9.0784 9.0784 9.0784
angles: 149.53 149.39 43.74
Fractional positions:
1 Pm 0.0000 0.0000 0.0000
2 Pm 0.3275 0.8275 0.5000
3 Pm 0.6725 0.1725 0.5000
4 Sm 0.5000 0.5000 0.0000
5 Tl 0.1390 0.6390 0.5000
6 Tl 0.8610 0.3610 0.5000
7 O 0.5000 0.0000 0.5000